Starting from a structure optimized by DFT (PBE), the X-ray powder pattern of Li2Cu3P4O14 was simulated for copper Kα.
Peak positions follow from Bragg's law for the DFT cell and can differ from measured ones.

Cell: 7.1026 8.9379 9.2668 Å, 90.00 108.41 90.00°
Element x y z (fractional)
Li (0.2170, 0.0593, 0.1246)
Li (0.2170, 0.4407, 0.6246)
Li (0.7830, 0.5593, 0.3754)
Li (0.7830, 0.9407, 0.8754)
Cu (0.3104, 0.1192, 0.4976)
Cu (0.3104, 0.3808, 0.9976)
Cu (0.5000, 0.0000, 0.0000)
Cu (0.5000, 0.5000, 0.5000)
Cu (0.6896, 0.6192, 0.0024)
Cu (0.6896, 0.8808, 0.5024)
P (0.1051, 0.5159, 0.2256)
P (0.1051, 0.9841, 0.7256)
P (0.4191, 0.7247, 0.1970)
P (0.4191, 0.7753, 0.6970)
P (0.5809, 0.2247, 0.3030)
P (0.5809, 0.2753, 0.8030)
P (0.8949, 0.0159, 0.2744)
P (0.8949, 0.4841, 0.7744)
O (0.1131, 0.0545, 0.2965)
O (0.1131, 0.4455, 0.7965)
O (0.1298, 0.0996, 0.6125)
O (0.1298, 0.4004, 0.1125)
O (0.2017, 0.6756, 0.1981)
O (0.2017, 0.8244, 0.6981)
O (0.2068, 0.0291, 0.8933)
O (0.2068, 0.4709, 0.3933)
O (0.4002, 0.6122, 0.6464)
O (0.4002, 0.8878, 0.1464)
O (0.4385, 0.2083, 0.1381)
O (0.4385, 0.2917, 0.6381)
O (0.4741, 0.6156, 0.0892)
O (0.4741, 0.8844, 0.5892)
O (0.5259, 0.1156, 0.4108)
O (0.5259, 0.3844, 0.9108)
O (0.5615, 0.7083, 0.3619)
O (0.5615, 0.7917, 0.8619)
O (0.5998, 0.1122, 0.8536)
O (0.5998, 0.3878, 0.3536)
O (0.7932, 0.5291, 0.6067)
O (0.7932, 0.9709, 0.1067)
O (0.7983, 0.1756, 0.3019)
O (0.7983, 0.3244, 0.8019)
O (0.8702, 0.5996, 0.8875)
O (0.8702, 0.9004, 0.3875)
O (0.8869, 0.5545, 0.2035)
O (0.8869, 0.9455, 0.7035)

Top 12 peaks for 2θ from 10° to 90°, low angle first:
index, two_theta, I/Imax
1 0 0, 13.14, 100
1 1 -1, 17.01, 51
0 2 0, 19.87, 25
1 1 -2, 22.66, 22
1 2 -1, 24.27, 31
1 0 2, 27.54, 68
1 2 -2, 28.58, 73
1 1 2, 29.30, 42
0 3 1, 31.71, 37
2 1 1, 32.88, 56
3 0 -2, 38.84, 21
1 2 3, 42.44, 19

---

Starting from a structure optimized by DFT (PBE), the X-ray powder pattern of Li2Cu3P4O14 was simulated for copper Kα.
Peak positions follow from Bragg's law for the DFT cell and can differ from measured ones.

Cell: 5.4872 6.2686 16.5845 Å, 94.09 91.65 110.15°
Element x y z (fractional)
Li (0.0634, 0.2984, 0.4863)
Li (0.3805, 0.7412, 0.6104)
Li (0.6195, 0.2588, 0.3896)
Li (0.9366, 0.7016, 0.5137)
Cu (0.0564, 0.1358, 0.6632)
Cu (0.2237, 0.7805, 0.9083)
Cu (0.4130, 0.4547, 0.1631)
Cu (0.5870, 0.5453, 0.8369)
Cu (0.7763, 0.2195, 0.0917)
Cu (0.9436, 0.8642, 0.3368)
P (0.0653, 0.4014, 0.3100)
P (0.1389, 0.2702, 0.9520)
P (0.2914, 0.9099, 0.1762)
P (0.4359, 0.7526, 0.4228)
P (0.5641, 0.2474, 0.5772)
P (0.7086, 0.0901, 0.8238)
P (0.8611, 0.7298, 0.0480)
P (0.9347, 0.5986, 0.6900)
O (0.0322, 0.8107, 0.6402)
O (0.0754, 0.9073, 0.2310)
O (0.0934, 0.3523, 0.2206)
O (0.1074, 0.3391, 0.0409)
O (0.1206, 0.4688, 0.6698)
O (0.1547, 0.8203, 0.0866)
O (0.2673, 0.0932, 0.9414)
O (0.2683, 0.1942, 0.5633)
O (0.2781, 0.6438, 0.4939)
O (0.2922, 0.4866, 0.9088)
O (0.3553, 0.5448, 0.3494)
O (0.3688, 0.9509, 0.3939)
O (0.4555, 0.7672, 0.1966)
O (0.4809, 0.1583, 0.1659)
O (0.5191, 0.8417, 0.8341)
O (0.5445, 0.2328, 0.8034)
O (0.6312, 0.0491, 0.6061)
O (0.6447, 0.4552, 0.6506)
O (0.7078, 0.5134, 0.0912)
O (0.7219, 0.3562, 0.5061)
O (0.7317, 0.8058, 0.4367)
O (0.7327, 0.9068, 0.0586)
O (0.8453, 0.1797, 0.9134)
O (0.8794, 0.5312, 0.3302)
O (0.8926, 0.6609, 0.9591)
O (0.9066, 0.6477, 0.7794)
O (0.9246, 0.0927, 0.7690)
O (0.9678, 0.1893, 0.3598)

Top 12 peaks for 2θ from 10° to 90°, low angle first:
index, two_theta, I/Imax
0 1 -2, 17.78, 25
0 0 4, 21.52, 31
1 0 3, 24.35, 100
1 0 4, 28.48, 30
1 -2 1, 29.56, 53
0 2 -1, 30.51, 17
1 0 -5, 31.34, 23
0 2 1, 31.47, 13
1 1 -4, 33.05, 17
0 2 2, 33.34, 15
2 0 -1, 35.01, 18
1 0 7, 43.08, 15

---

Starting from a structure optimized by DFT (PBE), the X-ray powder pattern of Li3Cu2P5O16 was simulated for copper Kα.
Peak positions follow from Bragg's law for the DFT cell and can differ from measured ones.

Cell: 5.1066 7.0564 17.5028 Å, 90.00 91.31 90.00°
Element x y z (fractional)
Li (0.0000, 0.0216, 0.2500)
Li (0.0000, 0.9784, 0.7500)
Li (0.2239, 0.3164, 0.9624)
Li (0.2239, 0.6836, 0.4624)
Li (0.7761, 0.3164, 0.5376)
Li (0.7761, 0.6836, 0.0376)
Cu (0.2465, 0.1722, 0.4120)
Cu (0.2465, 0.8278, 0.9120)
Cu (0.7535, 0.1722, 0.0880)
Cu (0.7535, 0.8278, 0.5880)
P (0.2257, 0.4632, 0.1224)
P (0.2257, 0.5368, 0.6224)
P (0.2853, 0.1284, 0.5898)
P (0.2853, 0.8716, 0.0898)
P (0.5000, 0.2470, 0.2500)
P (0.5000, 0.7530, 0.7500)
P (0.7147, 0.1284, 0.9102)
P (0.7147, 0.8716, 0.4102)
P (0.7743, 0.4632, 0.3776)
P (0.7743, 0.5368, 0.8776)
O (0.0695, 0.4480, 0.3904)
O (0.0695, 0.5520, 0.8904)
O (0.1293, 0.1919, 0.5171)
O (0.1293, 0.8081, 0.0171)
O (0.1392, 0.0088, 0.1394)
O (0.1392, 0.9912, 0.6394)
O (0.3009, 0.3830, 0.2061)
O (0.3009, 0.6170, 0.7061)
O (0.3047, 0.3231, 0.6415)
O (0.3047, 0.6769, 0.1415)
O (0.3278, 0.1358, 0.3028)
O (0.3278, 0.8642, 0.8028)
O (0.3919, 0.3762, 0.0621)
O (0.3919, 0.6238, 0.5621)
O (0.4272, 0.0846, 0.9272)
O (0.4272, 0.9154, 0.4272)
O (0.5728, 0.0846, 0.5728)
O (0.5728, 0.9154, 0.0728)
O (0.6081, 0.3762, 0.4379)
O (0.6081, 0.6238, 0.9379)
O (0.6722, 0.1358, 0.1972)
O (0.6722, 0.8642, 0.6972)
O (0.6953, 0.3231, 0.8585)
O (0.6953, 0.6769, 0.3585)
O (0.6991, 0.3830, 0.2939)
O (0.6991, 0.6170, 0.7939)
O (0.8608, 0.0088, 0.3606)
O (0.8608, 0.9912, 0.8606)
O (0.8707, 0.1919, 0.9829)
O (0.8707, 0.8081, 0.4829)
O (0.9305, 0.4480, 0.1096)
O (0.9305, 0.5520, 0.6096)

Top 12 peaks for 2θ from 10° to 90°, low angle first:
index, two_theta, I/Imax
0 0 2, 10.11, 49
0 1 1, 13.53, 100
0 0 4, 20.30, 61
1 1 -1, 21.99, 37
1 1 1, 22.18, 81
1 1 -2, 23.62, 27
0 0 6, 30.66, 29
1 2 -1, 31.17, 42
1 2 1, 31.30, 38
1 2 2, 32.62, 40
1 1 -5, 33.23, 36
2 0 0, 35.16, 25

---

Starting from a structure optimized by DFT (PBE), the X-ray powder pattern of LiCu2P5O16 was simulated for copper Kα.
Peak positions follow from Bragg's law for the DFT cell and can differ from measured ones.

Cell: 4.9651 6.6996 18.6432 Å, 90.00 90.84 90.00°
Element x y z (fractional)
Li (0.0000, 0.0641, 0.0000)
Li (0.0000, 0.9359, 0.5000)
Cu (0.0224, 0.3279, 0.5700)
Cu (0.0224, 0.6721, 0.0700)
Cu (0.5247, 0.3188, 0.8861)
Cu (0.5247, 0.6812, 0.3861)
P (0.0065, 0.0356, 0.8449)
P (0.0065, 0.9644, 0.3449)
P (0.0445, 0.3709, 0.4007)
P (0.0445, 0.6291, 0.9007)
P (0.2783, 0.2565, 0.7279)
P (0.2783, 0.7435, 0.2279)
P (0.5082, 0.3690, 0.0559)
P (0.5082, 0.6310, 0.5559)
P (0.5357, 0.0378, 0.6093)
P (0.5357, 0.9622, 0.1093)
O (0.0531, 0.1981, 0.3385)
O (0.0531, 0.8019, 0.8385)
O (0.0829, 0.0970, 0.7649)
O (0.0829, 0.9030, 0.2649)
O (0.1190, 0.3736, 0.6732)
O (0.1190, 0.6264, 0.1732)
O (0.1914, 0.1302, 0.9012)
O (0.1914, 0.8698, 0.4012)
O (0.2084, 0.4187, 0.0456)
O (0.2084, 0.5813, 0.5456)
O (0.3256, 0.1197, 0.5574)
O (0.3256, 0.8803, 0.0574)
O (0.3378, 0.4345, 0.4110)
O (0.3378, 0.5655, 0.9110)
O (0.4273, 0.3779, 0.7833)
O (0.4273, 0.6221, 0.2833)
O (0.4914, 0.1107, 0.6895)
O (0.4914, 0.8893, 0.1895)
O (0.5031, 0.1969, 0.1189)
O (0.5031, 0.8031, 0.6189)
O (0.6327, 0.2640, 0.9906)
O (0.6327, 0.7360, 0.4906)
O (0.6728, 0.4615, 0.5884)
O (0.6728, 0.5385, 0.0884)
O (0.7086, 0.0661, 0.8571)
O (0.7086, 0.9339, 0.3571)
O (0.8303, 0.0661, 0.5904)
O (0.8303, 0.9339, 0.0904)
O (0.8674, 0.4654, 0.8690)
O (0.8674, 0.5346, 0.3690)
O (0.9369, 0.2605, 0.4672)
O (0.9369, 0.7395, 0.9672)

Top 12 peaks for 2θ from 10° to 90°, low angle first:
index, two_theta, I/Imax
0 1 1, 14.05, 100
0 1 2, 16.29, 23
0 0 4, 19.04, 64
1 1 -1, 22.74, 88
1 1 1, 22.85, 36
1 1 -2, 24.17, 19
1 1 2, 24.38, 19
0 0 6, 28.73, 31
1 2 1, 32.61, 44
1 1 5, 33.08, 23
1 2 -2, 33.60, 18
0 3 0, 40.36, 17

---

Starting from a structure optimized by DFT (PBE), the X-ray powder pattern of Li2CuPO4 was simulated for copper Kα.
Peak positions follow from Bragg's law for the DFT cell and can differ from measured ones.

Cell: 5.0720 5.0720 12.0328 Å, 90.00 90.00 120.00°
Element x y z (fractional)
Li (0.0913, 0.4360, 0.4183)
Li (0.3447, 0.9087, 0.0849)
Li (0.4360, 0.0913, 0.5817)
Li (0.5640, 0.6553, 0.7516)
Li (0.6553, 0.5640, 0.2484)
Li (0.9087, 0.3447, 0.9151)
Cu (0.0000, 0.2294, 0.6667)
Cu (0.2294, 0.0000, 0.3333)
Cu (0.7706, 0.7706, 0.0000)
P (0.0000, 0.2425, 0.1667)
P (0.2425, 0.0000, 0.8333)
P (0.7575, 0.7575, 0.5000)
O (0.0796, 0.4531, 0.0653)
O (0.0876, 0.8086, 0.4731)
O (0.1914, 0.2791, 0.8064)
O (0.2791, 0.1914, 0.1936)
O (0.3735, 0.9204, 0.7320)
O (0.4531, 0.0796, 0.9347)
O (0.5469, 0.6265, 0.3987)
O (0.6265, 0.5469, 0.6013)
O (0.7209, 0.9124, 0.1398)
O (0.8086, 0.0876, 0.5269)
O (0.9124, 0.7209, 0.8602)
O (0.9204, 0.3735, 0.2680)

Top 12 peaks for 2θ from 10° to 90°, low angle first:
index, two_theta, I/Imax
1 0 0, 20.22, 31
0 1 2, 25.10, 100
1 1 0, 35.39, 31
1 0 4, 36.20, 37
1 1 2, 38.52, 25
0 1 5, 42.85, 8
0 2 2, 43.88, 10
0 1 6, 50.00, 9
2 0 4, 51.52, 14
1 0 7, 57.59, 9
3 0 2, 65.62, 22
1 2 6, 74.14, 15